1.
Theoretical powder diffraction line list
Compound: CdI2
Radiation: a wavelength of 1.5418 Å
Structure: a structure optimized by DFT (GGA-PBE)
Kinematic intensities with the Lorentz-polarization factor, no thermal factor.

Structural model:
abc: 4.3357 4.3357 53.7589
angles: 90.00 90.00 120.00
Space group P3m1 (No. 156)
One atom of each set of equivalent atoms:
Cd 0.0000 0.0000 0.0000 (multiplicity 1)
Cd 0.0000 0.0000 0.1429 (multiplicity 1)
Cd 0.0000 0.0000 0.7143 (multiplicity 1)
Cd 0.3333 0.6667 0.2857 (multiplicity 1)
Cd 0.3333 0.6667 0.5714 (multiplicity 1)
Cd 0.3333 0.6667 0.8572 (multiplicity 1)
Cd 0.6667 0.3333 0.4287 (multiplicity 1)
I 0.0000 0.0000 0.2537 (multiplicity 1)
I 0.0000 0.0000 0.3966 (multiplicity 1)
I 0.0000 0.0000 0.5394 (multiplicity 1)
I 0.0000 0.0000 0.8251 (multiplicity 1)
I 0.3333 0.6667 0.1109 (multiplicity 1)
I 0.3333 0.6667 0.4607 (multiplicity 1)
I 0.3333 0.6667 0.6823 (multiplicity 1)
I 0.3333 0.6667 0.9680 (multiplicity 1)
I 0.6667 0.3333 0.0320 (multiplicity 1)
I 0.6667 0.3333 0.1749 (multiplicity 1)
I 0.6667 0.3333 0.3178 (multiplicity 1)
I 0.6667 0.3333 0.6034 (multiplicity 1)
I 0.6667 0.3333 0.7464 (multiplicity 1)
I 0.6667 0.3333 0.8892 (multiplicity 1)

Most intense lines, 2θ from 10° to 90°, low angle first:
- hkl 0 0 7, 2θ 11.52, I 100
- hkl 0 1 7, 2θ 26.42, I 99
- hkl 1 0 8, 2θ 27.21, I 22
- hkl 0 1 10, 2θ 29.01, I 31
- hkl 0 1 11, 2θ 30.01, I 21
- hkl 1 0 12, 2θ 31.08, I 20
- hkl 1 1 0, 2θ 41.66, I 71
- hkl 1 0 21, 2θ 42.75, I 23
- hkl 1 1 7, 2θ 43.37, I 23
- hkl 1 1 28, 2θ 64.87, I 28

2.
Theoretical powder diffraction line list
Compound: CdI2
Radiation: a wavelength of 1.5418 Å
Structure: a structure optimized by DFT (GGA-PBE)
Kinematic intensities with the Lorentz-polarization factor, no thermal factor.

Structural model:
abc: 4.3462 4.3462 80.8390
angles: 90.00 90.00 120.00
Space group P3m1 (No. 156)
One atom of each set of equivalent atoms:
Cd 0.0000 0.0000 0.0000 (multiplicity 1)
Cd 0.0000 0.0000 0.0909 (multiplicity 1)
Cd 0.0000 0.0000 0.1818 (multiplicity 1)
Cd 0.0000 0.0000 0.2727 (multiplicity 1)
Cd 0.0000 0.0000 0.3636 (multiplicity 1)
Cd 0.0000 0.0000 0.4545 (multiplicity 1)
Cd 0.0000 0.0000 0.5454 (multiplicity 1)
Cd 0.0000 0.0000 0.6363 (multiplicity 1)
Cd 0.0000 0.0000 0.7273 (multiplicity 1)
Cd 0.3333 0.6667 0.8182 (multiplicity 1)
Cd 0.3333 0.6667 0.9091 (multiplicity 1)
I 0.0000 0.0000 0.7968 (multiplicity 1)
I 0.0000 0.0000 0.8877 (multiplicity 1)
I 0.3333 0.6667 0.0695 (multiplicity 1)
I 0.3333 0.6667 0.1604 (multiplicity 1)
I 0.3333 0.6667 0.2513 (multiplicity 1)
I 0.3333 0.6667 0.3422 (multiplicity 1)
I 0.3333 0.6667 0.4331 (multiplicity 1)
I 0.3333 0.6667 0.5241 (multiplicity 1)
I 0.3333 0.6667 0.6149 (multiplicity 1)
I 0.3333 0.6667 0.7059 (multiplicity 1)
I 0.3333 0.6667 0.9786 (multiplicity 1)
I 0.6667 0.3333 0.0214 (multiplicity 1)
I 0.6667 0.3333 0.1123 (multiplicity 1)
I 0.6667 0.3333 0.2032 (multiplicity 1)
I 0.6667 0.3333 0.2941 (multiplicity 1)
I 0.6667 0.3333 0.3850 (multiplicity 1)
I 0.6667 0.3333 0.4759 (multiplicity 1)
I 0.6667 0.3333 0.5668 (multiplicity 1)
I 0.6667 0.3333 0.6577 (multiplicity 1)
I 0.6667 0.3333 0.7487 (multiplicity 1)
I 0.6667 0.3333 0.8396 (multiplicity 1)
I 0.6667 0.3333 0.9305 (multiplicity 1)

Most intense lines, 2θ from 10° to 90°, low angle first:
- hkl 0 0 11, 2θ 12.04, I 44
- hkl 1 0 11, 2θ 26.61, I 100
- hkl 1 0 22, 2θ 34.10, I 37
- hkl 1 1 0, 2θ 41.56, I 44
- hkl 1 1 11, 2θ 43.42, I 11
- hkl 0 1 33, 2θ 44.11, I 27
- hkl 0 2 11, 2θ 50.03, I 17
- hkl 1 1 44, 2θ 66.66, I 19
- hkl 2 1 11, 2θ 67.00, I 14
- hkl 1 2 33, 2θ 77.61, I 10

3.
Theoretical powder diffraction line list
Compound: CdI2
Radiation: a wavelength of 1.5418 Å
Structure: a structure optimized by DFT (GGA-PBE)
Kinematic intensities with the Lorentz-polarization factor, no thermal factor.

Structural model:
abc: 4.3349 4.3349 15.0005
angles: 90.00 90.00 120.00
Space group P6_3mc (No. 186)
One atom of each set of equivalent atoms:
Cd 0.3333 0.6667 0.0000 (multiplicity 2)
I 0.0000 0.0000 0.3851 (multiplicity 2)
I 0.3333 0.6667 0.6149 (multiplicity 2)

Most intense lines, 2θ from 10° to 90°, low angle first:
- hkl 0 0 2, 2θ 11.80, I 63
- hkl 1 0 2, 2θ 26.55, I 100
- hkl 1 0 3, 2θ 29.76, I 68
- hkl 1 0 4, 2θ 33.78, I 23
- hkl 1 0 5, 2θ 38.41, I 41
- hkl 1 1 0, 2θ 41.67, I 53
- hkl 1 0 6, 2θ 43.48, I 41
- hkl 1 1 8, 2θ 65.86, I 22
- hkl 2 1 2, 2θ 67.16, I 18
- hkl 1 1 10, 2θ 77.34, I 21

4.
Theoretical powder diffraction line list
Compound: CdI2
Radiation: a wavelength of 1.5418 Å
Structure: a structure optimized by DFT (GGA-PBE)
Kinematic intensities with the Lorentz-polarization factor, no thermal factor.

Structural model:
abc: 4.3320 4.3320 44.4566
angles: 90.00 90.00 120.00
Space group P-3m1 (No. 164)
One atom of each set of equivalent atoms:
Cd 0.0000 0.0000 0.0833 (multiplicity 2)
Cd 0.0000 0.0000 0.4166 (multiplicity 2)
Cd 0.3333 0.6667 0.2500 (multiplicity 2)
I 0.0000 0.0000 0.2889 (multiplicity 2)
I 0.3333 0.6667 0.1222 (multiplicity 2)
I 0.3333 0.6667 0.4555 (multiplicity 2)
I 0.3333 0.6667 0.6222 (multiplicity 2)
I 0.3333 0.6667 0.7888 (multiplicity 2)
I 0.3333 0.6667 0.9555 (multiplicity 2)

Most intense lines, 2θ from 10° to 90°, low angle first:
- hkl 0 0 6, 2θ 11.94, I 61
- hkl 0 1 6, 2θ 26.63, I 100
- hkl 0 1 8, 2θ 28.71, I 18
- hkl 0 1 10, 2θ 31.20, I 22
- hkl 0 1 12, 2θ 34.01, I 23
- hkl 1 0 14, 2θ 37.09, I 16
- hkl 1 1 0, 2θ 41.70, I 57
- hkl 1 0 18, 2θ 43.89, I 26
- hkl 2 0 6, 2θ 50.17, I 17
- hkl 1 1 24, 2θ 66.41, I 25